1.
# MgSc4Fe4O12
Simulated PXRD pattern, Cu Kα (weighted mean of Kα1 and Kα2). Input: a crystal structure in the Materials Project, relaxed with PBE+U.
No peak broadening, texture or thermal motion is included.

Cell and atoms:
```
MgSc4Fe4O12
1.0
5.3434 0.0000 0.0000
-0.0066 5.9240 0.0000
-0.0100 -0.8740 7.6932
Mg Sc Fe O
1 4 4 12
Cartesian
0.0000 0.0000 0.0000
0.0174 2.4593 5.6047
0.0871 1.2856 2.6263
2.6857 4.0153 6.5084
2.7178 4.3750 2.6344
0.0254 3.5163 1.2956
0.0298 4.9543 4.2045
2.6991 2.2197 0.1816
2.7234 1.7203 4.1425
0.7601 4.4958 5.9474
0.9063 1.5902 0.7856
0.9472 3.1115 3.4301
1.6403 0.0237 3.4165
1.8323 4.3233 0.7594
1.9218 1.9600 6.0233
3.5127 -0.2534 7.2735
3.6068 2.4103 2.0906
3.7391 3.8128 4.6221
4.2443 2.7391 7.2639
4.5822 5.2660 2.1913
4.6245 0.8890 4.5180
```

Largest 12 diffraction maxima, in order of falling intensity, 5 to 70 degrees two-theta:
Position (°2θ)	I/Imax	hkl
33.7	100.0	-1 1 2
33.5	53.4	2 0 0
50.2	43.2	2 2 -2
51.2	42.9	1 -1 4
49.5	41.4	1 3 0
34.8	33.9	1 2 0
26.2	32.7	0 1 -2
15.1	29.6	0 1 0
60.1	28.0	3 1 2
28.6	25.5	1 0 -2
60.0	24.6	-3 1 2
31.2	24.5	1 -1 2

---

2.
# Mg3VO4
Simulated PXRD pattern, Cu Kα (weighted mean of Kα1 and Kα2). Input: a crystal structure in the Materials Project, relaxed with PBE+U.
No peak broadening, texture or thermal motion is included.

Cell and atoms:
```
Mg3VO4
1.0
4.3091 0.0000 0.0000
0.0000 4.3091 0.0000
0.0000 0.0000 4.3091
Mg V O
3 1 4
Cartesian
0.0000 0.0000 2.1546
0.0000 2.1546 0.0000
2.1546 0.0000 0.0000
2.1546 2.1546 2.1546
0.0000 0.0000 0.0000
0.0000 2.1546 2.1546
2.1546 0.0000 2.1546
2.1546 2.1546 0.0000
```

Largest 9 diffraction maxima, in order of falling intensity, 5 to 70 degrees two-theta:
Position (°2θ)	I/Imax	hkl
41.9	100.0	2 0 0
60.8	56.4	2 2 0
36.1	21.3	1 1 1
20.6	11.6	1 0 0
29.3	9.3	1 1 0
47.2	4.3	2 1 0
52.0	3.0	2 1 1
64.9	1.7	3 0 0
68.9	1.1	3 1 0